(1)
Diffraction record for Gd2MgGe2. The X-ray diffraction stick pattern is theoretical, not measured: it uses a PBE-relaxed structure and Cu Kα (weighted mean of Kα1 and Kα2).

Structural model:
Lattice parameters (Å, degrees): 7.3055 7.3055 4.3068 90.00 90.00 90.00
Element x y z (fractional)
Gd  0.1776  0.3224  0.0000
Gd  0.3224  0.8224  0.0000
Gd  0.6776  0.1776  0.0000
Gd  0.8224  0.6776  0.0000
Mg  0.0000  0.0000  0.5000
Mg  0.5000  0.5000  0.5000
Ge  0.1233  0.6233  0.5000
Ge  0.3767  0.1233  0.5000
Ge  0.6233  0.8767  0.5000
Ge  0.8767  0.3767  0.5000

Main lines, by angle (2θ from 5° to 70°):
- 17.2°, I 16, (1 1 0)
- 24.4°, I 15, (2 0 0)
- 27.3°, I 11, (2 1 0)
- 32.1°, I 27, (2 0 1)
- 34.5°, I 100, (2 1 1)
- 39.0°, I 18, (3 1 0)
- 42.0°, I 16, (0 0 2)
- 51.6°, I 11, (4 1 0)
- 56.1°, I 16, (4 1 1)
- 58.6°, I 11, (3 1 2)

***

(2)
Diffraction record for BaTiO3. The X-ray diffraction stick pattern is theoretical, not measured: it uses a PBE-relaxed structure and Cu Kα (weighted mean of Kα1 and Kα2).

Structural model:
Lattice parameters (Å, degrees): 8.8815 5.3137 5.3336 90.00 90.00 90.00
Element x y z (fractional)
Ba  0.0000  0.0000  0.0000
Ba  0.0000  0.5000  0.5000
Ti  0.5000  0.0000  0.0410
Ti  0.5000  0.5000  0.5410
O  0.0000  0.0000  0.5012
O  0.0000  0.5000  0.0012
O  0.5000  0.2438  0.7502
O  0.5000  0.2562  0.2502
O  0.5000  0.7438  0.2502
O  0.5000  0.7562  0.7502

Main lines, by angle (2θ from 5° to 70°):
- 10.0°, I 32, (1 0 0)
- 20.0°, I 100, (2 0 0)
- 23.6°, I 62, (0 1 1)
- 25.7°, I 18, (1 1 1)
- 31.1°, I 62, (2 1 1)
- 35.1°, I 17, (1 0 2)
- 39.5°, I 16, (2 2 0)
- 47.5°, I 19, (4 1 1)
- 48.4°, I 16, (0 2 2)
- 52.8°, I 24, (2 2 2)

***

(3)
Diffraction record for C4SeBr4. The X-ray diffraction stick pattern is theoretical, not measured: it uses a PBE-relaxed structure and Cu Kα (weighted mean of Kα1 and Kα2).

Structural model:
Lattice parameters (Å, degrees): 15.3444 4.5007 14.3820 90.00 96.27 90.00
Element x y z (fractional)
C  0.1470  0.0814  0.1090
C  0.1470  0.4186  0.6090
C  0.2170  0.5414  0.6622
C  0.2170  0.9586  0.1622
C  0.2961  0.1437  0.0419
C  0.2961  0.3563  0.5419
C  0.3001  0.5067  0.6250
C  0.3001  0.9933  0.1250
C  0.6999  0.0067  0.8750
C  0.6999  0.4933  0.3750
C  0.7039  0.6437  0.4581
C  0.7039  0.8563  0.9581
C  0.7830  0.0414  0.8378
C  0.7830  0.4586  0.3378
C  0.8530  0.5814  0.3910
C  0.8530  0.9186  0.8910
Se  0.1804  0.2362  0.5001
Se  0.1804  0.2638  0.0001
Se  0.8196  0.7362  0.9999
Se  0.8196  0.7638  0.4999
Br  0.0312  0.1060  0.1375
Br  0.0312  0.3940  0.6375
Br  0.2070  0.7425  0.7759
Br  0.2070  0.7575  0.2759
Br  0.3876  0.2347  0.9710
Br  0.3876  0.2653  0.4710
Br  0.4055  0.6589  0.6870
Br  0.4055  0.8411  0.1870
Br  0.5945  0.1589  0.8130
Br  0.5945  0.3411  0.3130
Br  0.6124  0.7347  0.5290
Br  0.6124  0.7653  0.0290
Br  0.7930  0.2425  0.7241
Br  0.7930  0.2575  0.2241
Br  0.9688  0.6060  0.3625
Br  0.9688  0.8940  0.8625

Main lines, by angle (2θ from 5° to 70°):
- 20.7°, I 10, (0 1 1)
- 23.7°, I 11, (1 1 -2)
- 24.4°, I 100, (1 1 2)
- 28.7°, I 23, (2 0 4)
- 28.9°, I 27, (3 0 -4)
- 29.3°, I 28, (5 0 0)
- 32.2°, I 37, (4 1 -2)
- 43.5°, I 9, (2 1 -6)
- 44.0°, I 19, (6 1 2)
- 47.7°, I 11, (0 2 4)